TlOs2RhO8: theoretical powder X-ray diffraction pattern (λ = 1.5418 Å (Cu Kα)), based on a structure optimized by DFT (GGA-PBE).
Neutral-atom scattering factors, no anomalous dispersion.

Main lines, by intensity (10° ≤ 2θ ≤ 80°):
2theta	d_spacing	I/Imax
22.08	4.026	100
28.31	3.153	99
34.28	2.616	57
54.59	1.681	39
45.03	2.013	28
57.80	1.595	27
41.15	2.194	23
61.40	1.510	15
45.94	1.976	13
76.59	1.244	12

Structural model:
```
TlOs2RhO8
1.0
5.2311 0.0000 0.0000
-2.6155 4.5303 0.0000
0.0000 0.0000 8.7813
Tl Os Rh O
1 2 1 8
Cartesian
0.0000 0.0000 0.0000 Tl
0.0000 3.0202 6.2703 Os
2.6156 1.5101 2.5110 Os
0.0000 0.0000 4.3906 Rh
-0.7373 1.5171 5.5899 O
-0.9330 4.4102 5.5899 O
0.0000 3.0202 8.0427 O
0.9452 1.3971 3.1914 O
1.6703 3.1332 5.5899 O
2.6156 1.5101 0.7386 O
3.5486 0.1200 3.1914 O
3.3529 3.0131 3.1914 O
```

***

Sr2OsRuO6: theoretical powder X-ray diffraction pattern (λ = 1.5418 Å (Cu Kα)), based on a structure optimized by DFT (GGA-PBE).
Neutral-atom scattering factors, no anomalous dispersion.

Main lines, by intensity (10° ≤ 2θ ≤ 80°):
2theta	d_spacing	I/Imax
31.70	2.823	100
31.82	2.812	50
56.62	1.626	39
45.62	1.988	31
56.38	1.632	19
66.21	1.411	18
75.58	1.258	17
45.25	2.004	15
22.36	3.977	14
66.50	1.406	9

Structural model:
```
Sr2OsRuO6
1.0
3.9768 0.0000 0.0000
0.0000 3.9768 0.0000
0.0000 0.0000 8.0154
Sr Os Ru O
2 1 1 6
Cartesian
0.0000 0.0000 1.9074 Sr
0.0000 0.0000 6.1080 Sr
1.9884 1.9884 4.0077 Os
1.9884 1.9884 0.0000 Ru
0.0000 1.9884 0.0000 O
0.0000 1.9884 4.0077 O
1.9884 0.0000 0.0000 O
1.9884 0.0000 4.0077 O
1.9884 1.9884 2.0161 O
1.9884 1.9884 5.9993 O
```

***

TlOs2RuO8: theoretical powder X-ray diffraction pattern (λ = 1.5418 Å (Cu Kα)), based on a structure optimized by DFT (GGA-PBE).
Neutral-atom scattering factors, no anomalous dispersion.

Main lines, by intensity (10° ≤ 2θ ≤ 80°):
2theta	d_spacing	I/Imax
22.10	4.023	100
28.35	3.148	98
34.30	2.615	57
54.65	1.679	37
45.07	2.011	28
57.84	1.594	27
41.18	2.192	23
61.42	1.510	15
46.03	1.972	14
76.65	1.243	12

Structural model:
```
TlOs2RuO8
1.0
5.2293 0.0000 0.0000
-2.6146 4.5287 0.0000
0.0000 0.0000 8.7602
Tl Os Ru O
1 2 1 8
Cartesian
0.0000 0.0000 0.0000 Tl
0.0000 3.0191 6.2294 Os
2.6146 1.5096 2.5308 Os
0.0000 0.0000 4.3801 Ru
-0.6933 1.4717 5.5606 O
-0.9935 4.3932 5.5606 O
0.9279 1.3362 3.1996 O
0.0000 3.0191 8.0060 O
2.6146 1.5096 0.7543 O
1.6868 3.1925 5.5606 O
3.6082 0.1354 3.1996 O
3.3079 3.0570 3.1996 O
```

***

Tl2OsRuO6: theoretical powder X-ray diffraction pattern (λ = 1.5418 Å (Cu Kα)), based on a structure optimized by DFT (GGA-PBE).
Neutral-atom scattering factors, no anomalous dispersion.

Main lines, by intensity (10° ≤ 2θ ≤ 80°):
2theta	d_spacing	I/Imax
31.70	2.823	100
56.46	1.630	40
45.44	1.996	27
66.21	1.412	17
75.32	1.262	12
75.18	1.264	6
39.08	2.305	4
15.71	5.643	3
27.34	3.262	2
22.27	3.992	1

Structural model:
```
Tl2OsRuO6
1.0
5.6426 0.0000 0.0000
0.0000 5.6426 0.0000
0.0000 0.0000 3.9974
Tl Os Ru O
2 1 1 6
Cartesian
0.0000 2.8213 0.0000 Tl
2.8213 0.0000 0.0000 Tl
0.0000 0.0000 1.9987 Os
2.8213 2.8213 1.9987 Ru
0.0000 0.0000 0.0000 O
1.3755 1.3755 1.9987 O
1.3755 4.2671 1.9987 O
2.8213 2.8213 0.0000 O
4.2671 1.3755 1.9987 O
4.2671 4.2671 1.9987 O
```

***

Sc6Os2O: theoretical powder X-ray diffraction pattern (λ = 1.5418 Å (Cu Kα)), based on a structure optimized by DFT (GGA-PBE).
Neutral-atom scattering factors, no anomalous dispersion.

Main lines, by intensity (10° ≤ 2θ ≤ 80°):
2theta	d_spacing	I/Imax
19.86	4.471	100
28.90	3.089	77
21.03	4.224	65
34.39	2.608	57
22.37	3.974	48
22.63	3.930	47
42.09	2.147	41
36.19	2.482	40
44.87	2.020	39
36.85	2.439	36

Structural model:
```
Sc6Os2O
1.0
6.0533 0.0000 0.0000
0.0000 6.6337 0.0000
-5.8974 0.0000 8.4487
Sc Os O
12 4 2
Cartesian
-1.8153 1.1640 3.7870 Sc
-4.7641 2.1529 8.0114 Sc
-0.9990 4.5834 3.7711 Sc
-3.9477 5.3672 7.9955 Sc
0.6330 0.2470 2.1116 Sc
-2.3157 3.0698 6.3359 Sc
2.4717 3.5639 2.1128 Sc
-0.4771 6.3867 6.3372 Sc
4.1037 1.2665 0.4533 Sc
1.1549 2.0503 4.6777 Sc
4.9200 4.4808 0.4373 Sc
1.9713 5.4697 4.6617 Sc
-3.0758 0.6109 6.3248 Os
-0.1271 2.7060 2.1004 Os
0.2830 3.9277 6.3483 Os
3.2317 6.0229 2.1240 Os
0.0780 0.0000 4.2244 O
3.0267 3.3169 0.0000 O
```

***

Sc3OsO7: theoretical powder X-ray diffraction pattern (λ = 1.5418 Å (Cu Kα)), based on a structure optimized by DFT (GGA-PBE).
Neutral-atom scattering factors, no anomalous dispersion.

Main lines, by intensity (10° ≤ 2θ ≤ 80°):
2theta	d_spacing	I/Imax
15.07	5.877	100
30.42	2.939	89
31.02	2.883	82
51.29	1.781	58
29.58	3.020	49
17.64	5.027	32
35.57	2.524	26
61.41	1.510	23
29.36	3.042	22
60.36	1.534	20

Structural model:
```
Sc3OsO7
1.0
3.6220 -5.0273 0.0000
3.6220 5.0273 0.0000
0.0000 0.0000 7.0393
Sc Os O
6 2 14
Cartesian
1.9423 2.3652 1.8027 Sc
0.2750 0.0000 0.0000 Sc
5.3017 2.3652 1.7169 Sc
1.9423 -2.3652 5.2365 Sc
6.9689 0.0000 3.5196 Sc
5.3017 -2.3652 5.3224 Sc
3.6181 0.0000 3.5196 Os
3.6259 0.0000 0.0000 Os
3.6220 3.7260 5.2794 O
3.6220 3.6043 1.7598 O
2.0928 1.2510 6.8356 O
2.2465 1.3165 3.8130 O
2.0928 -1.2510 0.2036 O
3.6220 0.8643 1.7598 O
2.2465 -1.3165 3.2262 O
4.9974 1.3165 6.7458 O
3.6220 -0.8643 5.2794 O
5.1512 1.2510 3.7233 O
4.9974 -1.3165 0.2934 O
5.1512 -1.2510 3.3160 O
3.6220 -3.6043 5.2794 O
3.6220 -3.7260 1.7598 O
```

***

TbSc2OsO8: theoretical powder X-ray diffraction pattern (λ = 1.5418 Å (Cu Kα)), based on a structure optimized by DFT (GGA-PBE).
Neutral-atom scattering factors, no anomalous dispersion.

Main lines, by intensity (10° ≤ 2θ ≤ 80°):
2theta	d_spacing	I/Imax
32.98	2.716	100
18.21	4.871	89
25.74	3.460	61
25.99	3.428	61
50.47	1.808	41
50.19	1.818	40
38.02	2.367	29
36.91	2.435	26
64.02	1.454	24
41.29	2.186	18

Structural model:
```
TbSc2OsO8
1.0
3.4278 -3.4605 0.0000
3.4278 3.4605 0.0000
0.0000 0.0000 6.5429
Tb Sc Os O
1 2 1 8
Cartesian
0.0000 0.0000 0.0000 Tb
3.4278 0.0000 1.5686 Sc
3.4278 0.0000 4.9743 Sc
0.0000 0.0000 3.2714 Os
1.3337 0.0000 1.8871 O
1.3337 0.0000 4.6558 O
3.4278 1.5763 3.2714 O
3.4278 1.2642 0.0000 O
3.4278 -1.2642 0.0000 O
3.4278 -1.5763 3.2714 O
5.5218 0.0000 1.8871 O
5.5218 0.0000 4.6558 O
```

***

ScTlOsO6: theoretical powder X-ray diffraction pattern (λ = 1.5418 Å (Cu Kα)), based on a structure optimized by DFT (GGA-PBE).
Neutral-atom scattering factors, no anomalous dispersion.

Main lines, by intensity (10° ≤ 2θ ≤ 80°):
2theta	d_spacing	I/Imax
25.24	3.529	100
33.24	2.695	40
54.74	1.677	35
47.73	1.906	33
42.19	2.142	23
75.52	1.259	19
19.01	4.669	18
69.79	1.348	14
79.53	1.205	13
38.58	2.334	10

Structural model:
```
ScTlOsO6
1.0
5.3912 0.0000 0.0000
-2.6956 4.6689 0.0000
0.0000 0.0000 5.3883
Sc Tl Os O
1 1 1 6
Cartesian
0.0000 0.0000 0.0000 Sc
2.6956 1.5563 2.6941 Tl
0.0000 3.1126 0.0000 Os
-0.6067 1.6946 1.0917 O
-1.5314 3.2962 4.2966 O
0.6067 1.6946 4.2966 O
-0.9247 4.3471 1.0917 O
1.5314 3.2962 1.0917 O
0.9247 4.3471 4.2966 O
```

***

OsSeO: theoretical powder X-ray diffraction pattern (λ = 1.5418 Å (Cu Kα)), based on a structure optimized by DFT (GGA-PBE).
Neutral-atom scattering factors, no anomalous dispersion.

Main lines, by intensity (10° ≤ 2θ ≤ 80°):
2theta	d_spacing	I/Imax
19.27	4.605	100
24.27	3.667	80
36.92	2.435	63
41.97	2.152	59
49.73	1.834	44
35.45	2.532	38
45.37	1.999	33
52.58	1.741	27
71.54	1.319	20
49.24	1.851	20

Structural model:
```
OsSeO
1.0
5.3173 0.0000 0.0000
-2.6587 4.6050 0.0000
0.0000 0.0000 6.0630
Os Se O
3 3 3
Cartesian
-0.3762 2.2321 0.0000 Os
-0.5375 3.8147 2.0210 Os
0.9137 3.1631 4.0420 Os
1.2524 1.6072 1.7575 Se
3.2993 0.2810 5.7995 Se
3.4243 2.7168 3.7785 Se
0.8211 1.3371 4.8142 O
3.7488 0.0425 2.7931 O
3.4061 3.2253 0.7721 O
```

***

Sm5Os2O12: theoretical powder X-ray diffraction pattern (λ = 1.5418 Å (Cu Kα)), based on a structure optimized by DFT (GGA-PBE).
Neutral-atom scattering factors, no anomalous dispersion.

Main lines, by intensity (10° ≤ 2θ ≤ 80°):
2theta	d_spacing	I/Imax
27.93	3.195	100
26.82	3.325	92
32.04	2.793	39
31.90	2.806	39
54.84	1.674	31
39.90	2.259	30
47.24	1.924	26
24.24	3.671	25
33.56	2.670	23
34.55	2.596	23

Structural model:
```
Sm5Os2O12
1.0
6.4239 -2.8672 0.0000
6.4239 2.8672 0.0000
-2.3370 0.0000 7.3322
Sm Os O
5 2 12
Cartesian
0.0000 0.0000 0.0000 Sm
3.5606 0.0000 1.0545 Sm
2.4432 0.0000 4.9018 Sm
8.0676 0.0000 2.4305 Sm
6.9502 0.0000 6.2778 Sm
5.2554 1.6152 3.6661 Os
5.2554 -1.6152 3.6661 Os
12.1428 0.0000 2.2049 O
-1.6320 0.0000 5.1273 O
3.3534 1.4338 3.0647 O
2.2866 1.4261 6.7848 O
8.2242 1.4261 0.5474 O
7.1574 1.4338 4.2676 O
5.6309 0.0000 2.4389 O
4.8799 0.0000 4.8933 O
3.3534 -1.4338 3.0647 O
2.2866 -1.4261 6.7848 O
8.2242 -1.4261 0.5474 O
7.1574 -1.4338 4.2676 O
```

***

TbSm2OsO8: theoretical powder X-ray diffraction pattern (λ = 1.5418 Å (Cu Kα)), based on a structure optimized by DFT (GGA-PBE).
Neutral-atom scattering factors, no anomalous dispersion.

Main lines, by intensity (10° ≤ 2θ ≤ 80°):
2theta	d_spacing	I/Imax
31.30	2.858	100
24.46	3.640	57
24.63	3.615	53
47.55	1.912	40
47.73	1.905	36
34.98	2.565	30
60.46	1.531	22
59.45	1.555	19
65.30	1.429	12
56.88	1.619	10

Structural model:
```
TbSm2OsO8
1.0
3.6150 -3.6395 0.0000
3.6150 3.6395 0.0000
0.0000 0.0000 6.8834
Tb Sm Os O
1 2 1 8
Cartesian
0.0000 0.0000 0.0000 Tb
3.6150 0.0000 1.7103 Sm
3.6150 0.0000 5.1730 Sm
0.0000 0.0000 3.4417 Os
3.6150 2.3336 2.0071 O
3.6150 2.3336 4.8763 O
1.8652 0.0000 3.4417 O
2.2067 0.0000 0.0000 O
5.0232 0.0000 0.0000 O
5.3648 0.0000 3.4417 O
3.6150 -2.3336 2.0071 O
3.6150 -2.3336 4.8763 O
```

***

SmTlOs2O8: theoretical powder X-ray diffraction pattern (λ = 1.5418 Å (Cu Kα)), based on a structure optimized by DFT (GGA-PBE).
Neutral-atom scattering factors, no anomalous dispersion.

Main lines, by intensity (10° ≤ 2θ ≤ 80°):
2theta	d_spacing	I/Imax
20.29	4.377	100
28.38	3.145	90
29.31	3.047	84
41.25	2.188	41
51.40	1.778	36
55.81	1.647	29
47.00	1.933	21
51.98	1.759	17
38.47	2.340	17
68.42	1.371	16

Structural model:
```
SmTlOs2O8
1.0
6.0946 0.0000 0.0000
-3.0473 5.2781 0.0000
0.0000 0.0000 7.8316
Sm Tl Os O
1 1 2 8
Cartesian
0.0000 0.0000 0.0000 Sm
0.0000 0.0000 3.9158 Tl
0.0000 3.5187 2.0736 Os
3.0473 1.7594 5.7580 Os
-0.0275 1.8099 1.4438 O
-1.4662 4.3969 1.4438 O
0.0000 3.5187 3.8404 O
1.5537 0.9287 6.3879 O
1.4936 4.3494 1.4438 O
3.0473 1.7594 3.9913 O
4.5135 0.8812 6.3879 O
3.0748 3.4682 6.3879 O
```